Starting from the GGA-PBE geometry in Alexandria, the PXRD pattern of K4RbCd4 was calculated for Cu Kα, 1.54184 Å.

Top 10 peaks for 10 to 90 degrees two-theta, low angle first:
index, 2θ (°), d_spacing, I (rel.)
1 0 1, 14.60, 6.067, 33
2 0 0, 15.57, 5.692, 36
1 1 1, 16.56, 5.354, 65
1 3 0, 24.73, 3.600, 100
1 0 2, 26.06, 3.420, 41
1 2 2, 30.50, 2.931, 40
2 3 1, 30.95, 2.889, 33
3 0 2, 34.41, 2.606, 44
4 1 1, 34.82, 2.576, 27
3 2 2, 37.97, 2.369, 47

Cell and atoms:
Lattice parameters (Å, degrees): 11.3831 11.3831 7.1708 90.00 90.00 90.00
Space group P4_2/n (No. 86, origin choice 2)
One atom of each set of equivalent atoms:
K1 0.0783 0.6566 0.1191 x8
Rb1 0.2500 0.2500 0.2500 x2
Cd1 0.0282 0.6028 0.6144 x8